[1]
Simulated powder diffractogram
Compound: SmV2Fe10N
Radiation: Cu Kα, 1.54184 Å
Structure: a crystal structure in the Materials Project, relaxed with PBE

Peak list (6 most intense, 2θ from 15° to 90°, low angle first)
two_theta, I/Imax
30.05, 47.3
42.35, 38.8
42.74, 98.9
42.86, 63.6
43.51, 100.0
48.75, 28.1

Structure:
Lattice parameters (Å, degrees): 6.4655 6.4655 6.4655 136.71 98.26 97.38
Atoms (fractional coordinates):
Sm 0.0000 0.0000 0.0000
V 0.3602 0.0000 0.3602
V 0.6398 0.0000 0.6398
Fe 0.0000 0.0000 0.5000
Fe 0.0000 0.5000 0.0000
Fe 0.2230 0.5000 0.7230
Fe 0.2280 0.7280 0.5000
Fe 0.3713 0.3713 0.0000
Fe 0.5000 0.0000 0.0000
Fe 0.5000 0.5000 0.5000
Fe 0.6287 0.6287 0.0000
Fe 0.7720 0.2720 0.5000
Fe 0.7770 0.5000 0.2770
N 0.0000 0.5000 0.5000



[2]
Simulated powder diffractogram
Compound: Ni9BiTeS8
Radiation: Cu Kα, 1.54184 Å
Structure: a crystal structure in the Materials Project, relaxed with PBE

Peak list (6 most intense, 2θ from 15° to 90°, low angle first)
two_theta, I/Imax
27.25, 82.5
32.05, 100.0
37.83, 80.8
38.93, 74.4
48.96, 68.7
50.62, 73.0

Structure:
Lattice parameters (Å, degrees): 7.3167 7.3167 5.3556 90.00 90.00 90.00
Atoms (fractional coordinates):
Ni 0.0000 0.0000 0.0000
Ni 0.1807 0.5000 0.2513
Ni 0.1807 0.5000 0.7487
Ni 0.5000 0.1807 0.2513
Ni 0.5000 0.1807 0.7487
Ni 0.5000 0.8193 0.2513
Ni 0.5000 0.8193 0.7487
Ni 0.8193 0.5000 0.2513
Ni 0.8193 0.5000 0.7487
Bi 0.0000 0.0000 0.5000
Te 0.5000 0.5000 0.0000
S 0.0000 0.3151 0.0000
S 0.0000 0.6849 0.0000
S 0.2715 0.2715 0.5000
S 0.2715 0.7285 0.5000
S 0.3151 0.0000 0.0000
S 0.6849 0.0000 0.0000
S 0.7285 0.2715 0.5000
S 0.7285 0.7285 0.5000



[3]
Simulated powder diffractogram
Compound: Na3ZnGaP2SO12
Radiation: Cu Kα, 1.54184 Å
Structure: a crystal structure in the Materials Project, relaxed with PBE

Peak list (6 most intense, 2θ from 15° to 90°, low angle first)
two_theta, I/Imax
19.75, 67.3
20.10, 40.1
23.38, 51.8
31.48, 100.0
31.64, 49.8
35.06, 49.5

Structure:
Lattice parameters (Å, degrees): 8.8350 8.8350 9.0027 119.55 119.55 60.36
Atoms (fractional coordinates):
Na 0.0667 0.9333 0.5000
Na 0.3130 0.8226 0.2491
Na 0.5671 0.7028 0.9993
Na 0.7028 0.5671 0.4993
Na 0.8226 0.3130 0.7491
Na 0.9333 0.0667 0.0000
Zn 0.4611 0.9715 0.6958
Zn 0.9715 0.4611 0.1958
Ga 0.1440 0.6683 0.7926
Ga 0.6683 0.1440 0.2926
P 0.0632 0.2705 0.4904
P 0.2705 0.0632 0.9904
P 0.7674 0.8566 0.4913
P 0.8566 0.7674 0.9913
S 0.3580 0.5584 0.4956
S 0.5584 0.3580 0.9956
O 0.0333 0.2931 0.3200
O 0.0339 0.7532 0.9767
O 0.0817 0.4480 0.6598
O 0.0925 0.2248 0.0118
O 0.1931 0.5409 0.3362
O 0.2248 0.0925 0.5118
O 0.2524 0.8835 0.9748
O 0.2931 0.0333 0.8200
O 0.3355 0.5854 0.6621
O 0.3832 0.7218 0.5123
O 0.3972 0.5296 0.9761
O 0.4480 0.0817 0.1598
O 0.5296 0.3972 0.4761
O 0.5409 0.1931 0.8362
O 0.5854 0.3355 0.1621
O 0.5971 0.8773 0.5150
O 0.6868 0.7929 0.8239
O 0.7218 0.3832 0.0123
O 0.7532 0.0339 0.4767
O 0.7929 0.6868 0.3239
O 0.8353 0.9451 0.1633
O 0.8773 0.5971 0.0150
O 0.8835 0.2524 0.4748
O 0.9451 0.8353 0.6633



[4]
Simulated powder diffractogram
Compound: Na4Al3Si7H8O24
Radiation: Cu Kα, 1.54184 Å
Structure: a crystal structure in the Materials Project, relaxed with PBE

Peak list (6 most intense, 2θ from 15° to 90°, low angle first)
two_theta, I/Imax
20.06, 100.0
27.76, 49.5
28.51, 48.3
30.79, 81.5
30.91, 53.2
31.04, 78.2

Structure:
Lattice parameters (Å, degrees): 6.6444 9.8995 9.9695 84.11 70.59 70.51
Atoms (fractional coordinates):
Na 0.0000 0.0000 0.0000
Na 0.1826 0.6273 0.4937
Na 0.5010 0.1191 0.8810
Na 0.8150 0.5040 0.3766
Al 0.0480 0.1423 0.2532
Al 0.1145 0.6384 0.1265
Al 0.9432 0.9859 0.6259
Si 0.0550 0.3717 0.0174
Si 0.3709 0.4845 0.7576
Si 0.3779 0.0648 0.4395
Si 0.6179 0.2516 0.5230
Si 0.6268 0.5608 0.9392
Si 0.8867 0.8734 0.3598
Si 0.9473 0.7500 0.8613
H 0.1221 0.3558 0.5467
H 0.3357 0.9559 0.7313
H 0.4794 0.8570 0.8255
H 0.4808 0.6684 0.2329
H 0.5199 0.1691 0.1474
H 0.5252 0.7663 0.3302
H 0.6619 0.2656 0.0506
H 0.8858 0.4525 0.6445
O 0.0027 0.4489 0.5520
O 0.0469 0.4787 0.1332
O 0.1016 0.2075 0.0750
O 0.1728 0.6359 0.7461
O 0.2024 0.0180 0.5780
O 0.2657 0.3697 0.8662
O 0.2908 0.1126 0.3022
O 0.3631 0.9494 0.8237
O 0.4075 0.6095 0.0791
O 0.4234 0.2048 0.4885
O 0.4855 0.4171 0.5944
O 0.5008 0.6742 0.3259
O 0.5697 0.5140 0.8034
O 0.6101 0.9262 0.3921
O 0.6343 0.1733 0.0549
O 0.7148 0.1459 0.6387
O 0.7290 0.6944 0.8815
O 0.8117 0.2642 0.3755
O 0.8192 0.4190 0.9748
O 0.8914 0.9112 0.7978
O 0.9444 0.8666 0.5074
O 0.9856 0.7076 0.3012
O 0.9926 0.9813 0.2445
O 0.9945 0.7573 0.0091



[5]
Simulated powder diffractogram
Compound: La2CuSn4
Radiation: Cu Kα, 1.54184 Å
Structure: a crystal structure in the Materials Project, relaxed with PBE

Peak list (6 most intense, 2θ from 15° to 90°, low angle first)
two_theta, I/Imax
30.15, 13.4
31.31, 100.0
36.11, 15.5
38.70, 21.5
39.42, 20.4
56.44, 14.5

Structure:
Lattice parameters (Å, degrees): 4.5715 9.1919 9.1919 29.32 90.00 90.00
Atoms (fractional coordinates):
La 0.0000 0.0000 0.0000
La 0.5000 0.2056 0.2056
Cu 0.0000 0.7886 0.7886
Sn 0.0000 0.3630 0.3630
Sn 0.0000 0.6449 0.6449
Sn 0.5000 0.5383 0.5383
Sn 0.5000 0.8631 0.8631



Copy entry 4 word for word.
Simulated powder diffractogram
Compound: Na4Al3Si7H8O24
Radiation: Cu Kα, 1.54184 Å
Structure: a crystal structure in the Materials Project, relaxed with PBE

Peak list (6 most intense, 2θ from 15° to 90°, low angle first)
two_theta, I/Imax
20.06, 100.0
27.76, 49.5
28.51, 48.3
30.79, 81.5
30.91, 53.2
31.04, 78.2

Structure:
Lattice parameters (Å, degrees): 6.6444 9.8995 9.9695 84.11 70.59 70.51
Atoms (fractional coordinates):
Na 0.0000 0.0000 0.0000
Na 0.1826 0.6273 0.4937
Na 0.5010 0.1191 0.8810
Na 0.8150 0.5040 0.3766
Al 0.0480 0.1423 0.2532
Al 0.1145 0.6384 0.1265
Al 0.9432 0.9859 0.6259
Si 0.0550 0.3717 0.0174
Si 0.3709 0.4845 0.7576
Si 0.3779 0.0648 0.4395
Si 0.6179 0.2516 0.5230
Si 0.6268 0.5608 0.9392
Si 0.8867 0.8734 0.3598
Si 0.9473 0.7500 0.8613
H 0.1221 0.3558 0.5467
H 0.3357 0.9559 0.7313
H 0.4794 0.8570 0.8255
H 0.4808 0.6684 0.2329
H 0.5199 0.1691 0.1474
H 0.5252 0.7663 0.3302
H 0.6619 0.2656 0.0506
H 0.8858 0.4525 0.6445
O 0.0027 0.4489 0.5520
O 0.0469 0.4787 0.1332
O 0.1016 0.2075 0.0750
O 0.1728 0.6359 0.7461
O 0.2024 0.0180 0.5780
O 0.2657 0.3697 0.8662
O 0.2908 0.1126 0.3022
O 0.3631 0.9494 0.8237
O 0.4075 0.6095 0.0791
O 0.4234 0.2048 0.4885
O 0.4855 0.4171 0.5944
O 0.5008 0.6742 0.3259
O 0.5697 0.5140 0.8034
O 0.6101 0.9262 0.3921
O 0.6343 0.1733 0.0549
O 0.7148 0.1459 0.6387
O 0.7290 0.6944 0.8815
O 0.8117 0.2642 0.3755
O 0.8192 0.4190 0.9748
O 0.8914 0.9112 0.7978
O 0.9444 0.8666 0.5074
O 0.9856 0.7076 0.3012
O 0.9926 0.9813 0.2445
O 0.9945 0.7573 0.0091